KLuCdO3: calculated XRD peak list (copper Kα), based on a DFT-relaxed cell (PBE, OQMD).

Crystal structure
abc: 6.810 6.810 8.961
angles: 90.00 90.00 150.39
Element x y z (fractional)
K 0.179 0.821 0.750
K 0.821 0.179 0.250
Lu 0.500 0.500 0.000
Lu 0.500 0.500 0.500
Cd 0.100 0.900 0.250
Cd 0.900 0.100 0.750
O 0.108 0.892 0.019
O 0.108 0.892 0.481
O 0.481 0.519 0.250
O 0.519 0.481 0.750
O 0.892 0.108 0.519
O 0.892 0.108 0.981

Top 12 peaks for 2θ = 10–90°, low angle first:
13.45 deg, I 100; 16.71 deg, I 17; 24.02 deg, I 29; 32.85 deg, I 46; 33.30 deg, I 63; 33.79 deg, I 27; 34.37 deg, I 16; 40.25 deg, I 22; 42.63 deg, I 11; 43.07 deg, I 24; 52.89 deg, I 22; 60.42 deg, I 16


Gd3HoPb2N2: calculated XRD peak list (copper Kα), based on a DFT-relaxed cell (PBE, OQMD).

Crystal structure
abc: 3.570 3.570 15.761
angles: 90.00 90.00 120.00
Element x y z (fractional)
Gd 0.000 0.000 0.000
Gd 0.000 0.000 0.333
Gd 0.667 0.333 0.832
Ho 0.667 0.333 0.499
Pb 0.000 0.000 0.664
Pb 0.667 0.333 0.167
N 0.333 0.667 0.420
N 0.333 0.667 0.916

Top 12 peaks for 2θ = 10–90°, low angle first:
28.88 deg, I 22; 33.64 deg, I 100; 34.13 deg, I 20; 45.30 deg, I 16; 51.18 deg, I 22; 59.83 deg, I 3; 60.79 deg, I 18; 62.65 deg, I 17; 62.96 deg, I 21; 70.71 deg, I 4; 83.40 deg, I 8; 85.04 deg, I 15


Pb2AuI7: calculated XRD peak list (copper Kα), based on a DFT-relaxed cell (PBE, OQMD).

Crystal structure
abc: 4.654 7.634 12.369
angles: 75.54 82.94 72.96
Element x y z (fractional)
Pb 0.167 0.270 0.359
Pb 0.833 0.730 0.641
Au 0.500 0.500 0.000
I 0.197 0.032 0.636
I 0.268 0.212 0.098
I 0.475 0.598 0.197
I 0.500 0.500 0.500
I 0.525 0.402 0.803
I 0.732 0.788 0.902
I 0.803 0.968 0.364

Top 12 peaks for 2θ = 10–90°, low angle first:
12.45 deg, I 29; 12.97 deg, I 87; 20.95 deg, I 49; 26.40 deg, I 100; 26.68 deg, I 37; 27.54 deg, I 34; 27.97 deg, I 63; 29.69 deg, I 56; 30.28 deg, I 44; 33.00 deg, I 39; 39.04 deg, I 31; 40.45 deg, I 44


Which formula does entry 3 have?
Pb2AuI7


Number 1 is which compound?
KLuCdO3